Theoretical X-ray powder pattern
Compound: Dy3Tm2Lu2Ni2Te2
Radiation: λ = 1.5418 Å (Cu Kα)
Structure: a cell relaxed with GGA-PBE

The 10 most intense peaks (5 to 70 degrees two-theta), sorted by position:
29.12 deg, intensity 238
30.58 deg, intensity 744
33.32 deg, intensity 820
34.39 deg, intensity 1000
34.89 deg, intensity 767
36.93 deg, intensity 242
38.80 deg, intensity 181
47.57 deg, intensity 296
51.71 deg, intensity 276
59.31 deg, intensity 317

Structure:
```
Dy3Tm2Lu2Ni2Te2
1.0
-1.9116 7.6998 4.7351
1.9116 -7.6998 4.7351
1.9116 7.6998 -4.7351
Dy Tm Lu Ni Te
3 2 2 2 2
direct
0.0000 0.0000 0.0000
0.4470 0.5812 0.8657
0.7155 0.5812 0.1343
0.0620 0.3765 0.6855
0.6910 0.3765 0.3145
0.0816 0.7283 0.3533
0.3750 0.7283 0.6467
0.3045 0.0692 0.2354
0.8338 0.0692 0.7646
0.3370 0.3370 0.0000
0.7337 0.2337 0.5000
```